(1)
Starting from DFT lattice parameters and positions (GGA-PBE), the powder diffractogram of NdGdBr2O2 was computed for copper Kα.
Lines closer than 0.1° are merged.

Principal peaks in the range 2θ from 10° to 90°, by angle:
| 2θ (°) | I/Imax |
| --- | --- |
| 10.56 | 31 |
| 31.23 | 100 |
| 32.24 | 44 |
| 38.92 | 9 |
| 46.24 | 21 |
| 49.33 | 10 |
| 54.93 | 16 |
| 56.86 | 36 |

Structural model:
Unit cell a=3.926 b=3.926 c=8.374 alpha=90.00 beta=90.00 gamma=90.00
Fractional coordinates of all 6 atoms:
Nd: 0.000 0.000 0.000
Gd: 0.500 0.500 0.715
Br: 0.000 0.000 0.522
Br: 0.500 0.500 0.194
O: 0.000 0.500 0.851
O: 0.500 0.000 0.851

(2)
Starting from DFT lattice parameters and positions (GGA-PBE), the powder diffractogram of Ho3Mg3TlAgIr was computed for copper Kα.
Lines closer than 0.1° are merged.

Principal peaks in the range 2θ from 10° to 90°, by angle:
| 2θ (°) | I/Imax |
| --- | --- |
| 12.91 | 47 |
| 22.47 | 58 |
| 32.40 | 100 |
| 34.62 | 35 |
| 35.01 | 99 |
| 39.44 | 44 |
| 42.00 | 47 |
| 63.92 | 31 |

Structural model:
Unit cell a=7.915 b=7.915 c=3.860 alpha=90.00 beta=90.00 gamma=120.00
Fractional coordinates of all 9 atoms:
Ho: 0.099 0.374 0.000
Ho: 0.275 0.901 0.000
Ho: 0.626 0.725 0.000
Mg: 0.412 0.334 0.500
Mg: 0.666 0.079 0.500
Mg: 0.921 0.588 0.500
Tl: 0.000 0.000 0.500
Ag: 0.667 0.333 0.000
Ir: 0.333 0.667 0.500

(3)
Starting from DFT lattice parameters and positions (GGA-PBE), the powder diffractogram of Sc3In2Au was computed for copper Kα.
Lines closer than 0.1° are merged.

Principal peaks in the range 2θ from 10° to 90°, by angle:
| 2θ (°) | I/Imax |
| --- | --- |
| 23.43 | 20 |
| 26.42 | 30 |
| 35.60 | 100 |
| 37.71 | 44 |
| 44.88 | 15 |
| 54.39 | 15 |
| 62.54 | 17 |
| 66.72 | 30 |

Structural model:
Unit cell a=3.374 b=3.374 c=11.388 alpha=90.00 beta=90.00 gamma=90.00
Fractional coordinates of all 6 atoms:
Sc: 0.000 0.000 0.000
Sc: 0.000 0.000 0.351
Sc: 0.000 0.000 0.649
In: 0.500 0.500 0.176
In: 0.500 0.500 0.824
Au: 0.500 0.500 0.500

(4)
Starting from DFT lattice parameters and positions (GGA-PBE), the powder diffractogram of Hf2AgHg3 was computed for copper Kα.
Lines closer than 0.1° are merged.

Principal peaks in the range 2θ from 10° to 90°, by angle:
| 2θ (°) | I/Imax |
| --- | --- |
| 36.58 | 100 |
| 37.50 | 48 |
| 51.27 | 9 |
| 54.08 | 17 |
| 65.23 | 17 |
| 67.06 | 34 |
| 77.74 | 10 |
| 86.88 | 7 |

Structural model:
Unit cell a=3.391 b=3.391 c=10.692 alpha=90.00 beta=90.00 gamma=90.00
Fractional coordinates of all 6 atoms:
Hf: 0.000 0.000 0.000
Hf: 0.500 0.500 0.476
Ag: 0.500 0.500 0.157
Hg: 0.000 0.000 0.311
Hg: 0.000 0.000 0.650
Hg: 0.500 0.500 0.830

(5)
Starting from DFT lattice parameters and positions (GGA-PBE), the powder diffractogram of Tb2Sm2Pb was computed for copper Kα.
Lines closer than 0.1° are merged.

Principal peaks in the range 2θ from 10° to 90°, by angle:
| 2θ (°) | I/Imax |
| --- | --- |
| 21.09 | 16 |
| 29.32 | 38 |
| 30.57 | 100 |
| 37.99 | 36 |
| 40.93 | 36 |
| 51.14 | 17 |
| 57.07 | 22 |
| 68.16 | 20 |

Structural model:
Unit cell a=4.410 b=4.410 c=8.424 alpha=90.00 beta=90.00 gamma=90.00
Fractional coordinates of all 5 atoms:
Tb: 0.000 0.000 0.172
Tb: 0.000 0.000 0.828
Sm: 0.000 0.500 0.500
Sm: 0.500 0.000 0.500
Pb: 0.500 0.500 0.000

(6)
Starting from DFT lattice parameters and positions (GGA-PBE), the powder diffractogram of YHgSO was computed for copper Kα.
Lines closer than 0.1° are merged.

Principal peaks in the range 2θ from 10° to 90°, by angle:
| 2θ (°) | I/Imax |
| --- | --- |
| 17.18 | 73 |
| 20.69 | 81 |
| 21.24 | 73 |
| 26.10 | 72 |
| 30.34 | 96 |
| 30.92 | 100 |
| 34.81 | 69 |
| 35.64 | 70 |

Structural model:
Unit cell a=5.632 b=5.634 c=12.874 alpha=90.00 beta=91.52 gamma=90.00
Fractional coordinates of all 16 atoms:
Y: 0.003 0.000 0.083
Y: 0.496 0.001 0.916
Y: 0.504 0.501 0.084
Y: 0.997 0.500 0.917
Hg: 0.131 0.272 0.496
Hg: 0.498 0.017 0.266
Hg: 0.502 0.517 0.734
Hg: 0.869 0.772 0.504
S: 0.204 0.311 0.240
S: 0.211 0.222 0.756
S: 0.789 0.722 0.244
S: 0.796 0.811 0.760
O: 0.250 0.750 0.000
O: 0.253 0.248 0.000
O: 0.747 0.748 0.000
O: 0.750 0.250 0.000

(7)
Starting from DFT lattice parameters and positions (GGA-PBE), the powder diffractogram of Bi2PdPt2 was computed for copper Kα.
Lines closer than 0.1° are merged.

Principal peaks in the range 2θ from 10° to 90°, by angle:
| 2θ (°) | I/Imax |
| --- | --- |
| 13.52 | 27 |
| 22.86 | 36 |
| 30.00 | 41 |
| 34.00 | 100 |
| 40.96 | 47 |
| 41.76 | 78 |
| 44.48 | 61 |
| 62.05 | 28 |

Structural model:
Unit cell a=7.155 b=7.155 c=7.155 alpha=146.92 beta=146.92 gamma=47.48
Fractional coordinates of all 5 atoms:
Bi: 0.110 0.110 0.000
Bi: 0.890 0.890 0.000
Pd: 0.500 0.500 0.000
Pt: 0.250 0.750 0.500
Pt: 0.750 0.250 0.500

(8)
Starting from DFT lattice parameters and positions (GGA-PBE), the powder diffractogram of Cs3H6Ir was computed for copper Kα.
Lines closer than 0.1° are merged.

Principal peaks in the range 2θ from 10° to 90°, by angle:
| 2θ (°) | I/Imax |
| --- | --- |
| 17.02 | 2 |
| 27.97 | 100 |
| 39.96 | 19 |
| 49.48 | 41 |
| 57.80 | 13 |
| 65.41 | 18 |
| 72.58 | 4 |
| 79.48 | 21 |

Structural model:
Unit cell a=6.381 b=6.381 c=6.381 alpha=60.00 beta=60.00 gamma=60.00
Fractional coordinates of all 10 atoms:
Cs: 0.000 0.000 0.000
Cs: 0.250 0.250 0.250
Cs: 0.750 0.750 0.750
H: 0.312 0.312 0.688
H: 0.312 0.688 0.312
H: 0.312 0.688 0.688
H: 0.688 0.312 0.312
H: 0.688 0.312 0.688
H: 0.688 0.688 0.312
Ir: 0.500 0.500 0.500

(9)
Starting from DFT lattice parameters and positions (GGA-PBE), the powder diffractogram of Tm4GePbC2 was computed for copper Kα.
Lines closer than 0.1° are merged.

Principal peaks in the range 2θ from 10° to 90°, by angle:
| 2θ (°) | I/Imax |
| --- | --- |
| 28.92 | 26 |
| 33.98 | 100 |
| 35.35 | 16 |
| 46.30 | 13 |
| 51.26 | 23 |
| 62.93 | 17 |
| 63.80 | 18 |
| 85.36 | 15 |

Structural model:
Unit cell a=3.565 b=3.565 c=15.236 alpha=90.00 beta=90.00 gamma=120.00
Fractional coordinates of all 8 atoms:
Tm: 0.000 0.000 0.149
Tm: 0.000 0.000 0.851
Tm: 0.667 0.333 0.322
Tm: 0.667 0.333 0.678
Ge: 0.667 0.333 0.000
Pb: 0.000 0.000 0.500
C: 0.333 0.667 0.239
C: 0.333 0.667 0.761

(10)
Starting from DFT lattice parameters and positions (GGA-PBE), the powder diffractogram of TmGaPdPt was computed for copper Kα.
Lines closer than 0.1° are merged.

Principal peaks in the range 2θ from 10° to 90°, by angle:
| 2θ (°) | I/Imax |
| --- | --- |
| 23.52 | 28 |
| 38.28 | 100 |
| 41.35 | 72 |
| 57.61 | 31 |
| 67.10 | 11 |
| 73.36 | 30 |
| 75.40 | 12 |
| 77.12 | 13 |

Structural model:
Unit cell a=4.367 b=4.367 c=9.004 alpha=90.00 beta=90.00 gamma=120.00
Fractional coordinates of all 8 atoms:
Tm: 0.333 0.667 0.000
Tm: 0.667 0.333 0.500
Ga: 0.000 0.000 0.257
Ga: 0.000 0.000 0.757
Pd: 0.333 0.667 0.665
Pd: 0.667 0.333 0.165
Pt: 0.333 0.667 0.336
Pt: 0.667 0.333 0.836

(11)
Starting from DFT lattice parameters and positions (GGA-PBE), the powder diffractogram of Rb2PdI2Br2 was computed for copper Kα.
Lines closer than 0.1° are merged.

Principal peaks in the range 2θ from 10° to 90°, by angle:
| 2θ (°) | I/Imax |
| --- | --- |
| 11.09 | 66 |
| 18.76 | 44 |
| 21.85 | 33 |
| 24.56 | 61 |
| 29.29 | 100 |
| 31.73 | 82 |
| 38.05 | 28 |
| 50.35 | 44 |

Structural model:
Unit cell a=4.730 b=7.980 c=7.973 alpha=90.00 beta=90.00 gamma=90.00
Fractional coordinates of all 7 atoms:
Rb: 0.000 0.000 0.000
Rb: 0.000 0.500 0.442
Pd: 0.500 0.000 0.469
I: 0.500 0.232 0.702
I: 0.500 0.768 0.702
Br: 0.500 0.223 0.246
Br: 0.500 0.777 0.246

(12)
Starting from DFT lattice parameters and positions (GGA-PBE), the powder diffractogram of LaNdSe4 was computed for copper Kα.
Lines closer than 0.1° are merged.

Principal peaks in the range 2θ from 10° to 90°, by angle:
| 2θ (°) | I/Imax |
| --- | --- |
| 23.60 | 41 |
| 30.16 | 34 |
| 31.05 | 34 |
| 31.93 | 72 |
| 36.78 | 100 |
| 37.90 | 57 |
| 43.18 | 58 |
| 58.79 | 31 |

Structural model:
Unit cell a=4.190 b=4.190 c=8.642 alpha=90.00 beta=90.00 gamma=90.00
Fractional coordinates of all 6 atoms:
La: 0.000 0.000 0.000
Nd: 0.500 0.500 0.452
Se: 0.000 0.000 0.360
Se: 0.000 0.500 0.723
Se: 0.500 0.000 0.723
Se: 0.500 0.500 0.095